1.
The following is a computed powder XRD pattern of CaCu3NiSe4. It was derived from a GGA-PBE-relaxed structure, using λ = 1.5418 Å (Cu Kα).

```
CaCu3NiSe4
1.0
5.902 0.000 0.000
0.000 5.902 0.000
0.000 0.000 5.902
Ca Cu Ni Se
1 3 1 4
Direct
0.000 0.000 0.000
0.000 0.500 0.500
0.500 0.000 0.500
0.500 0.500 0.000
0.500 0.500 0.500
0.271 0.271 0.729
0.271 0.729 0.271
0.729 0.271 0.271
0.729 0.729 0.729
```

Main lines, low angle first (2θ from 10° to 90°):
d = 5.902 Å, intensity 35
d = 3.407 Å, intensity 93
d = 2.087 Å, intensity 100
d = 1.779 Å, intensity 38
d = 1.475 Å, intensity 15
d = 1.205 Å, intensity 27

***

2.
The following is a computed powder XRD pattern of CaNpCu2O8. It was derived from a GGA-PBE-relaxed structure, using λ = 1.5418 Å (Cu Kα).

```
CaNpCu2O8
1.0
-3.419 3.419 3.390
3.419 -3.419 3.390
3.419 3.419 -3.390
Ca Np Cu O
1 1 2 8
Direct
0.000 0.000 0.000
0.250 0.750 0.500
0.500 0.500 0.000
0.750 0.250 0.500
0.308 0.099 0.791
0.308 0.517 0.209
0.380 0.046 0.334
0.483 0.692 0.791
0.713 0.046 0.666
0.901 0.692 0.209
0.954 0.287 0.334
0.954 0.620 0.666
```

Main lines, low angle first (2θ from 10° to 90°):
d = 4.823 Å, intensity 100
d = 3.419 Å, intensity 84
d = 2.787 Å, intensity 19
d = 2.776 Å, intensity 71
d = 2.161 Å, intensity 21
d = 1.823 Å, intensity 65

***

3.
The following is a computed powder XRD pattern of CaCu7O12. It was derived from a GGA-PBE-relaxed structure, using λ = 1.5418 Å (Cu Kα).

```
CaCu7O12
1.0
-3.654 3.654 3.654
3.654 -3.654 3.654
3.654 3.654 -3.654
Ca Cu O
1 7 12
Direct
0.000 0.000 0.000
0.000 0.000 0.500
0.000 0.500 0.000
0.000 0.500 0.500
0.500 0.000 0.000
0.500 0.000 0.500
0.500 0.500 0.000
0.500 0.500 0.500
0.138 0.827 0.311
0.173 0.311 0.483
0.173 0.689 0.862
0.311 0.138 0.827
0.311 0.483 0.173
0.483 0.173 0.311
0.517 0.827 0.689
0.689 0.517 0.827
0.689 0.862 0.173
0.827 0.311 0.138
0.827 0.689 0.517
0.862 0.173 0.689
```

Main lines, low angle first (2θ from 10° to 90°):
d = 2.584 Å, intensity 100
d = 2.311 Å, intensity 5
d = 1.827 Å, intensity 25
d = 1.492 Å, intensity 47
d = 1.292 Å, intensity 11
d = 1.155 Å, intensity 16

***

4.
The following is a computed powder XRD pattern of CaCuO2. It was derived from a GGA-PBE-relaxed structure, using λ = 1.5418 Å (Cu Kα).

```
CaCuO2
1.0
3.203 0.000 0.000
0.000 11.135 0.000
-0.003 0.000 5.460
Ca Cu O
4 4 8
Direct
0.003 0.000 0.274
0.006 0.275 0.226
0.994 0.775 0.774
0.997 0.500 0.726
0.492 0.759 0.265
0.493 0.516 0.235
0.507 0.016 0.765
0.508 0.259 0.735
0.483 0.643 0.994
0.486 0.631 0.507
0.497 0.883 0.523
0.500 0.392 0.977
0.500 0.892 0.023
0.503 0.383 0.477
0.514 0.131 0.493
0.517 0.143 0.006
```

Main lines, low angle first (2θ from 10° to 90°):
d = 3.203 Å, intensity 26
d = 2.784 Å, intensity 28
d = 2.730 Å, intensity 26
d = 2.681 Å, intensity 100
d = 2.216 Å, intensity 65
d = 1.949 Å, intensity 60

***

5.
The following is a computed powder XRD pattern of CaCu3O4. It was derived from a GGA-PBE-relaxed structure, using λ = 1.5418 Å (Cu Kα).

```
CaCu3O4
1.0
5.601 0.000 0.000
0.000 5.601 0.000
0.000 0.000 5.601
Ca Cu O
2 6 8
Direct
0.000 0.000 0.000
0.500 0.500 0.500
0.000 0.250 0.500
0.000 0.750 0.500
0.250 0.500 0.000
0.500 0.000 0.250
0.500 0.000 0.750
0.750 0.500 0.000
0.250 0.250 0.250
0.250 0.250 0.750
0.250 0.750 0.250
0.250 0.750 0.750
0.750 0.250 0.250
0.750 0.250 0.750
0.750 0.750 0.250
0.750 0.750 0.750
```

Main lines, low angle first (2θ from 10° to 90°):
d = 2.505 Å, intensity 100
d = 2.286 Å, intensity 49
d = 1.617 Å, intensity 21
d = 1.553 Å, intensity 21
d = 1.497 Å, intensity 23
d = 1.222 Å, intensity 17

***

6.
The following is a computed powder XRD pattern of Ca2Cu2O5. It was derived from a GGA-PBE-relaxed structure, using λ = 1.5418 Å (Cu Kα).

```
Ca2Cu2O5
1.0
5.487 0.000 0.000
0.000 10.345 0.000
0.000 0.000 3.682
Ca Cu O
4 4 10
Direct
0.172 0.140 0.000
0.328 0.640 0.000
0.672 0.360 0.000
0.828 0.860 0.000
0.211 0.387 0.500
0.289 0.887 0.500
0.711 0.113 0.500
0.789 0.613 0.500
0.000 0.000 0.500
0.065 0.715 0.500
0.221 0.410 0.000
0.279 0.910 0.000
0.435 0.215 0.500
0.500 0.500 0.500
0.565 0.785 0.500
0.721 0.090 0.000
0.779 0.590 0.000
0.935 0.285 0.500
```

Main lines, low angle first (2θ from 10° to 90°):
d = 3.764 Å, intensity 31
d = 2.744 Å, intensity 25
d = 2.632 Å, intensity 100
d = 2.586 Å, intensity 31
d = 1.882 Å, intensity 26
d = 1.501 Å, intensity 29

***

7.
The following is a computed powder XRD pattern of CaCu2O. It was derived from a GGA-PBE-relaxed structure, using λ = 1.5418 Å (Cu Kα).

```
CaCu2O
1.0
0.000 4.320 4.320
4.320 0.000 4.320
4.320 4.320 0.000
Ca Cu O
2 4 2
Direct
0.125 0.125 0.125
0.875 0.875 0.875
0.000 0.500 0.500
0.500 0.000 0.500
0.500 0.500 0.000
0.500 0.500 0.500
0.375 0.375 0.375
0.625 0.625 0.625
```

Main lines, low angle first (2θ from 10° to 90°):
d = 4.989 Å, intensity 59
d = 3.055 Å, intensity 37
d = 2.605 Å, intensity 100
d = 2.494 Å, intensity 74
d = 1.663 Å, intensity 32
d = 1.527 Å, intensity 43

***

8.
The following is a computed powder XRD pattern of Ca3Cu2O6. It was derived from a GGA-PBE-relaxed structure, using λ = 1.5418 Å (Cu Kα).

```
Ca3Cu2O6
1.0
6.260 -1.888 0.000
6.260 1.888 0.000
-1.807 0.000 6.433
Ca Cu O
3 2 6
Direct
0.000 0.000 0.000
0.004 0.004 0.519
0.306 0.306 0.172
0.661 0.661 0.348
0.668 0.668 0.839
0.144 0.144 0.315
0.151 0.151 0.853
0.503 0.503 0.270
0.513 0.513 0.756
0.812 0.812 0.385
0.817 0.817 0.966
```

Main lines, low angle first (2θ from 10° to 90°):
d = 6.027 Å, intensity 61
d = 3.219 Å, intensity 47
d = 2.752 Å, intensity 40
d = 2.573 Å, intensity 33
d = 2.564 Å, intensity 33
d = 2.502 Å, intensity 100

***

9.
The following is a computed powder XRD pattern of CaCuOs2O8. It was derived from a GGA-PBE-relaxed structure, using λ = 1.5418 Å (Cu Kα).

```
CaCuOs2O8
1.0
3.512 -3.341 0.000
3.512 3.341 0.000
-0.128 0.000 6.239
Ca Cu Os O
1 1 2 8
Direct
0.000 0.000 0.000
0.000 0.000 0.500
0.493 0.493 0.739
0.507 0.507 0.261
0.212 0.756 0.268
0.244 0.788 0.732
0.308 0.308 0.503
0.332 0.332 0.989
0.668 0.668 0.011
0.692 0.692 0.497
0.756 0.212 0.268
0.788 0.244 0.732
```

Main lines, low angle first (2θ from 10° to 90°):
d = 4.841 Å, intensity 100
d = 3.512 Å, intensity 78
d = 3.341 Å, intensity 63
d = 2.639 Å, intensity 56
d = 2.606 Å, intensity 54
d = 2.421 Å, intensity 32

***

10.
The following is a computed powder XRD pattern of CaCuP2O7. It was derived from a GGA-PBE-relaxed structure, using λ = 1.5418 Å (Cu Kα).

```
CaCuP2O7
1.0
6.145 0.000 0.000
2.373 6.029 0.000
0.099 1.122 7.260
Ca Cu P O
2 2 4 14
Direct
0.210 0.274 0.370
0.790 0.726 0.630
0.235 0.880 0.832
0.765 0.120 0.168
0.257 0.782 0.372
0.342 0.342 0.883
0.658 0.658 0.117
0.743 0.218 0.628
0.090 0.002 0.257
0.138 0.624 0.455
0.168 0.586 0.860
0.248 0.189 0.798
0.391 0.850 0.510
0.433 0.644 0.230
0.435 0.254 0.086
0.565 0.746 0.914
0.567 0.356 0.770
0.609 0.150 0.490
0.752 0.811 0.202
0.832 0.414 0.140
0.862 0.376 0.545
0.910 0.998 0.743
```

Main lines, low angle first (2θ from 10° to 90°):
d = 4.588 Å, intensity 19
d = 3.162 Å, intensity 39
d = 3.127 Å, intensity 100
d = 3.057 Å, intensity 29
d = 3.005 Å, intensity 60
d = 2.856 Å, intensity 46

***

11.
The following is a computed powder XRD pattern of CaCuP2O7. It was derived from a GGA-PBE-relaxed structure, using λ = 1.5418 Å (Cu Kα).

```
CaCuP2O7
1.0
5.294 0.000 0.000
0.000 8.141 0.000
-4.901 0.000 12.505
Ca Cu P O
4 4 8 28
Direct
0.015 0.182 0.226
0.015 0.318 0.726
0.985 0.682 0.274
0.985 0.818 0.774
0.317 0.641 0.610
0.317 0.859 0.110
0.683 0.141 0.890
0.683 0.359 0.390
0.326 0.202 0.016
0.326 0.298 0.516
0.412 0.028 0.666
0.412 0.472 0.166
0.588 0.528 0.834
0.588 0.972 0.334
0.674 0.702 0.484
0.674 0.798 0.984
0.116 0.189 0.904
0.116 0.311 0.404
0.181 0.042 0.708
0.181 0.458 0.208
0.251 0.102 0.100
0.251 0.398 0.600
0.311 0.106 0.548
0.311 0.394 0.048
0.330 0.622 0.765
0.330 0.878 0.265
0.376 0.667 0.471
0.376 0.833 0.971
0.500 0.149 0.344
0.500 0.351 0.844
0.500 0.649 0.156
0.500 0.851 0.656
0.624 0.167 0.029
0.624 0.333 0.529
0.670 0.122 0.735
0.670 0.378 0.235
0.689 0.606 0.952
0.689 0.894 0.452
0.749 0.602 0.400
0.749 0.898 0.900
0.819 0.542 0.792
0.819 0.958 0.292
0.884 0.689 0.596
0.884 0.811 0.096
```

Main lines, low angle first (2θ from 10° to 90°):
d = 6.822 Å, intensity 37
d = 3.325 Å, intensity 83
d = 3.226 Å, intensity 62
d = 2.999 Å, intensity 41
d = 2.649 Å, intensity 100
d = 1.980 Å, intensity 29